(1)
Diffraction record for KAuCl4. The powder X-ray diffraction pattern is calculated, not measured: it uses a structure optimized by DFT (PBE) and Cu Ka.

Atomic structure:
abc: 9.105 6.553 12.506
angles: 90.00 96.66 90.00
Space group P2_1/c (No. 14)
Inequivalent atoms, fractional coordinates:
K  0.213  0.049  0.184 (multiplicity 4)
Au  0.000  0.000  0.500 (multiplicity 2)
Au  0.500  0.000  0.500 (multiplicity 2)
Cl  0.093  0.548  0.179 (multiplicity 4)
Cl  0.123  0.709  0.453 (multiplicity 4)
Cl  0.335  0.250  0.431 (multiplicity 4)
Cl  0.493  0.651  0.831 (multiplicity 4)

Top 10 peaks for 2θ from 10° to 90°, sorted by position:
2θ/deg  d_spacing  I (rel.)
14.26  6.211  48.0
15.29  5.796  100.0
19.63  4.522  28.1
22.95  3.876  27.1
24.30  3.663  54.1
25.45  3.500  23.5
25.64  3.474  41.5
33.78  2.653  13.2
35.89  2.502  20.8
42.11  2.146  13.2

***

(2)
Diffraction record for K2LaAuCl6. The powder X-ray diffraction pattern is calculated, not measured: it uses a structure optimized by DFT (PBE) and Cu Ka.

Atomic structure:
abc: 10.998 10.998 10.998
angles: 90.00 90.00 90.00
Space group Fm-3m (No. 225)
Inequivalent atoms, fractional coordinates:
K  0.250  0.250  0.250 (multiplicity 8)
La  0.000  0.000  0.000 (multiplicity 4)
Au  0.000  0.000  0.500 (multiplicity 4)
Cl  0.000  0.000  0.251 (multiplicity 24)

Top 10 peaks for 2θ from 10° to 90°, sorted by position:
2θ/deg  d_spacing  I (rel.)
16.12  5.499  100.0
22.87  3.888  98.6
32.57  2.749  69.4
36.54  2.459  53.7
40.17  2.245  46.7
46.72  1.944  47.6
49.74  1.833  28.1
52.64  1.739  21.4
63.28  1.470  24.6
77.66  1.230  20.2

***

(3)
Diffraction record for K2LuAuCl6. The powder X-ray diffraction pattern is calculated, not measured: it uses a structure optimized by DFT (PBE) and Cu Ka.

Atomic structure:
abc: 10.637 10.637 10.637
angles: 90.00 90.00 90.00
Space group Fm-3m (No. 225)
Inequivalent atoms, fractional coordinates:
K  0.250  0.250  0.250 (multiplicity 8)
Lu  0.000  0.000  0.000 (multiplicity 4)
Au  0.000  0.000  0.500 (multiplicity 4)
Cl  0.000  0.000  0.242 (multiplicity 24)

Top 10 peaks for 2θ from 10° to 90°, sorted by position:
2θ/deg  d_spacing  I (rel.)
16.67  5.319  100.0
23.66  3.761  97.6
33.70  2.659  61.6
37.82  2.379  52.8
41.59  2.171  45.4
48.41  1.880  41.9
51.55  1.773  27.4
54.56  1.682  21.1
65.69  1.421  24.0
80.82  1.189  17.9